FeHgClF4: computed powder XRD pattern (Cu Kα, 1.54184 Å), based on DFT lattice parameters and positions (GGA+U).
Lines closer than 0.1° are merged.

Peak list (10 most intense, 2θ from 10° to 90°, by intensity)
Position (°2θ)	Rel. int.	index
22.0	100	0 2 0
26.0	77	3 1 -1
16.8	68	1 1 -1
28.0	51	2 0 1
14.3	41	0 0 1
17.8	34	2 0 0
47.0	32	5 1 0
41.1	30	3 3 -1
36.1	25	1 1 2
25.5	23	2 0 -2

Cell and atoms:
Cell: 11.3676 8.0887 7.0676 Å, 90.00 118.95 90.00°
Space group C2/m (No. 12)
Symmetry-distinct sites (fractional):
Fe: 0.1266 0.0000 0.2344 (multiplicity 4)
Hg: 0.1906 0.5000 0.1525 (multiplicity 4)
Cl: 0.0395 0.5000 0.7774 (multiplicity 4)
F: 0.0680 0.0000 0.9048 (multiplicity 4)
F: 0.1448 0.0000 0.5193 (multiplicity 4)
F: 0.2119 0.1978 0.2565 (multiplicity 8)